Theoretical X-ray powder pattern
Compound: PmTaN2O
Radiation: Cu Ka
Structure: a cell relaxed with GGA-PBE
Peak positions follow from Bragg's law for the DFT cell and can differ from measured ones.

Main lines, by angle (2θ = 10–90°):
d 2.851, I 24, (0 0 2); d 2.827, I 100, (2 1 1); d 2.805, I 25, (0 2 0); d 1.999, I 33, (4 0 0); d 1.642, I 16, (2 1 3); d 1.636, I 10, (4 0 2); d 1.628, I 11, (4 2 0); d 1.624, I 21, (2 3 1); d 1.413, I 13, (4 2 2); d 1.264, I 15, (6 1 1)

Structural model:
```
data_PmTaN2O
_chemical_formula_sum 'Pm4 Ta4 N8 O4'
_cell_length_a 7.9930
_cell_length_b 5.6103
_cell_length_c 5.7029
_cell_angle_alpha 90.00
_cell_angle_beta 90.00
_cell_angle_gamma 90.00
_space_group_name_H-M_alt 'P 1'
_space_group_IT_number 1
loop_
_space_group_symop_operation_xyz
'x,y,z'
loop_
_atom_site_label
_atom_site_fract_x
_atom_site_fract_y
_atom_site_fract_z
Pm1 0.0000 0.2489 0.0000
Pm2 0.0000 0.7511 0.5000
Pm3 0.5000 0.2490 0.0896
Pm4 0.5000 0.7510 0.5896
Ta1 0.2545 0.2358 0.5484
Ta2 0.2545 0.7642 0.0484
Ta3 0.7455 0.2358 0.5484
Ta4 0.7455 0.7642 0.0484
N1 0.0000 0.1789 0.5582
N2 0.0000 0.8211 0.0582
N3 0.2918 0.0488 0.8388
N4 0.2918 0.9512 0.3388
N5 0.5000 0.3415 0.5108
N6 0.5000 0.6585 0.0108
N7 0.7082 0.0488 0.8388
N8 0.7082 0.9512 0.3388
O1 0.2064 0.4477 0.2321
O2 0.2064 0.5523 0.7321
O3 0.7936 0.4477 0.2321
O4 0.7936 0.5523 0.7321
```

=====

Theoretical X-ray powder pattern
Compound: PmZnNO
Radiation: Cu Ka
Structure: a cell relaxed with GGA-PBE
Peak positions follow from Bragg's law for the DFT cell and can differ from measured ones.

Main lines, by angle (2θ = 10–90°):
d 3.437, I 25, (1 1 1); d 2.804, I 35, (2 0 0); d 2.753, I 100, (1 2 1); d 2.596, I 35, (0 0 2); d 1.990, I 12, (0 4 0); d 1.905, I 21, (2 0 2); d 1.609, I 14, (3 2 1); d 1.580, I 10, (0 4 2); d 1.527, I 20, (1 2 3); d 1.376, I 10, (2 4 2)

Structural model:
```
data_PmZnNO
_chemical_formula_sum 'Pm4 Zn4 N4 O4'
_cell_length_a 5.6085
_cell_length_b 7.9619
_cell_length_c 5.1918
_cell_angle_alpha 90.00
_cell_angle_beta 90.00
_cell_angle_gamma 90.00
_space_group_name_H-M_alt 'P 1'
_space_group_IT_number 1
loop_
_space_group_symop_operation_xyz
'x,y,z'
loop_
_atom_site_label
_atom_site_fract_x
_atom_site_fract_y
_atom_site_fract_z
Pm1 0.0300 0.1528 0.0000
Pm2 0.4700 0.1528 0.5000
Pm3 0.5300 0.8472 0.0000
Pm4 0.9700 0.8472 0.5000
Zn1 0.0506 0.6169 0.9871
Zn2 0.4494 0.6169 0.4871
Zn3 0.5506 0.3831 0.9871
Zn4 0.9494 0.3831 0.4871
N1 0.0466 0.1415 0.5228
N2 0.4534 0.1415 0.0228
N3 0.5466 0.8585 0.5228
N4 0.9534 0.8585 0.0228
O1 0.1109 0.5852 0.6064
O2 0.3891 0.5852 0.1064
O3 0.6109 0.4148 0.6064
O4 0.8891 0.4148 0.1064
```

=====

Theoretical X-ray powder pattern
Compound: RbPrNO
Radiation: Cu Ka
Structure: a cell relaxed with GGA-PBE
Peak positions follow from Bragg's law for the DFT cell and can differ from measured ones.

Main lines, by angle (2θ = 10–90°):
d 3.969, I 73, (1 2 0); d 3.895, I 19, (2 0 0); d 3.183, I 100, (1 2 1); d 3.145, I 61, (2 0 1); d 2.666, I 38, (0 0 2); d 2.306, I 21, (0 4 0); d 2.263, I 42, (3 2 0); d 2.213, I 24, (1 2 2); d 1.860, I 29, (2 4 1); d 1.725, I 35, (3 2 2)

Structural model:
```
data_RbPrNO
_chemical_formula_sum 'Rb4 Pr4 N4 O4'
_cell_length_a 7.7909
_cell_length_b 9.2231
_cell_length_c 5.3320
_cell_angle_alpha 90.00
_cell_angle_beta 90.00
_cell_angle_gamma 90.00
_space_group_name_H-M_alt 'P 1'
_space_group_IT_number 1
loop_
_space_group_symop_operation_xyz
'x,y,z'
loop_
_atom_site_label
_atom_site_fract_x
_atom_site_fract_y
_atom_site_fract_z
Rb1 0.1018 0.1109 0.0000
Rb2 0.3982 0.1109 0.5000
Rb3 0.6018 0.8891 0.0000
Rb4 0.8982 0.8891 0.5000
Pr1 0.0852 0.6198 0.0030
Pr2 0.4148 0.6198 0.5030
Pr3 0.5852 0.3802 0.0030
Pr4 0.9148 0.3802 0.5030
N1 0.1071 0.5878 0.5050
N2 0.3929 0.5878 0.0050
N3 0.6071 0.4122 0.5050
N4 0.8929 0.4122 0.0050
O1 0.0345 0.1715 0.5002
O2 0.4655 0.1715 0.0002
O3 0.5345 0.8285 0.5002
O4 0.9655 0.8285 0.0002
```

=====

Theoretical X-ray powder pattern
Compound: RbPrNO
Radiation: Cu Ka
Structure: a cell relaxed with GGA-PBE
Peak positions follow from Bragg's law for the DFT cell and can differ from measured ones.

Main lines, by angle (2θ = 10–90°):
d 3.815, I 17, (0 2 0); d 3.671, I 44, (1 1 0); d 3.276, I 60, (0 2 1); d 3.198, I 46, (0 0 2); d 3.184, I 100, (1 1 1); d 2.411, I 21, (1 1 2); d 2.174, I 33, (1 3 0); d 1.843, I 25, (1 1 3); d 1.798, I 33, (1 3 2); d 1.764, I 21, (2 2 1)

Structural model:
```
data_RbPrNO
_chemical_formula_sum 'Rb2 Pr2 N2 O2'
_cell_length_a 4.1874
_cell_length_b 7.6294
_cell_length_c 6.3954
_cell_angle_alpha 90.00
_cell_angle_beta 90.00
_cell_angle_gamma 90.00
_space_group_name_H-M_alt 'P 1'
_space_group_IT_number 1
loop_
_space_group_symop_operation_xyz
'x,y,z'
loop_
_atom_site_label
_atom_site_fract_x
_atom_site_fract_y
_atom_site_fract_z
Rb1 0.0000 0.1726 0.0000
Rb2 0.0000 0.8274 0.5000
Pr1 0.5000 0.3428 0.5264
Pr2 0.5000 0.6572 0.0264
N1 0.0000 0.2056 0.4670
N2 0.0000 0.7944 0.9670
O1 0.5000 0.3917 0.8738
O2 0.5000 0.6083 0.3738
```

=====

Theoretical X-ray powder pattern
Compound: PrScNO
Radiation: Cu Ka
Structure: a cell relaxed with GGA-PBE
Peak positions follow from Bragg's law for the DFT cell and can differ from measured ones.

Main lines, by angle (2θ = 10–90°):
d 8.101, I 41, (0 1 0); d 3.520, I 40, (1 1 1); d 3.447, I 33, (1 2 0); d 3.282, I 36, (2 0 0); d 2.812, I 100, (1 2 1); d 2.720, I 26, (2 0 1); d 2.432, I 38, (0 0 2); d 1.925, I 30, (3 2 0); d 1.556, I 24, (0 4 2); d 1.509, I 26, (3 2 2)

Structural model:
```
data_PrScNO
_chemical_formula_sum 'Pr4 Sc4 N4 O4'
_cell_length_a 6.5630
_cell_length_b 8.1008
_cell_length_c 4.8646
_cell_angle_alpha 90.00
_cell_angle_beta 90.00
_cell_angle_gamma 90.00
_space_group_name_H-M_alt 'P 1'
_space_group_IT_number 1
loop_
_space_group_symop_operation_xyz
'x,y,z'
loop_
_atom_site_label
_atom_site_fract_x
_atom_site_fract_y
_atom_site_fract_z
Pr1 0.0586 0.1350 0.0000
Pr2 0.4414 0.1350 0.5000
Pr3 0.5586 0.8650 0.0000
Pr4 0.9414 0.8650 0.5000
Sc1 0.0886 0.6100 0.0014
Sc2 0.4114 0.6100 0.5014
Sc3 0.5886 0.3900 0.0014
Sc4 0.9114 0.3900 0.5014
N1 0.0912 0.6024 0.4990
N2 0.4088 0.6024 0.9990
N3 0.5912 0.3976 0.4990
N4 0.9088 0.3976 0.9990
O1 0.0768 0.1633 0.5001
O2 0.4232 0.1633 0.0001
O3 0.5768 0.8367 0.5001
O4 0.9232 0.8367 0.0001
```

=====

Theoretical X-ray powder pattern
Compound: Pr2ScNO2
Radiation: Cu Ka
Structure: a cell relaxed with GGA-PBE
Peak positions follow from Bragg's law for the DFT cell and can differ from measured ones.

Main lines, by angle (2θ = 10–90°):
d 8.609, I 28, (0 0 1); d 2.870, I 30, (0 0 3); d 2.821, I 91, (1 0 1); d 2.453, I 100, (0 1 2); d 1.746, I 32, (1 0 4); d 1.724, I 33, (1 1 0); d 1.492, I 16, (0 1 5); d 1.478, I 25, (1 1 3); d 1.410, I 16, (2 0 2); d 1.092, I 15, (1 2 2)

Structural model:
```
data_Pr2ScNO2
_chemical_formula_sum 'Pr2 Sc1 N1 O2'
_cell_length_a 3.4475
_cell_length_b 3.4475
_cell_length_c 8.6087
_cell_angle_alpha 90.00
_cell_angle_beta 90.00
_cell_angle_gamma 120.00
_space_group_name_H-M_alt 'P 1'
_space_group_IT_number 1
loop_
_space_group_symop_operation_xyz
'x,y,z'
loop_
_atom_site_label
_atom_site_fract_x
_atom_site_fract_y
_atom_site_fract_z
Pr1 0.3333 0.6667 0.1699
Pr2 0.6667 0.3333 0.8301
Sc1 0.0000 0.0000 0.5000
N1 0.0000 0.0000 0.0000
O1 0.3333 0.6667 0.6235
O2 0.6667 0.3333 0.3765
```

=====

Theoretical X-ray powder pattern
Compound: PrSnNO
Radiation: Cu Ka
Structure: a cell relaxed with GGA-PBE
Peak positions follow from Bragg's law for the DFT cell and can differ from measured ones.

Main lines, by angle (2θ = 10–90°):
d 3.113, I 59, (0 0 2); d 3.083, I 59, (1 1 0); d 2.795, I 100, (0 2 1); d 2.763, I 89, (1 1 1); d 2.191, I 62, (1 1 2); d 1.728, I 57, (0 2 3); d 1.722, I 25, (1 1 3); d 1.556, I 26, (0 0 4); d 1.496, I 31, (2 2 1); d 1.237, I 18, (2 2 3)

Structural model:
```
data_PrSnNO
_chemical_formula_sum 'Pr2 Sn2 N2 O2'
_cell_length_a 3.5431
_cell_length_b 6.2549
_cell_length_c 6.2257
_cell_angle_alpha 90.00
_cell_angle_beta 90.00
_cell_angle_gamma 90.00
_space_group_name_H-M_alt 'P 1'
_space_group_IT_number 1
loop_
_space_group_symop_operation_xyz
'x,y,z'
loop_
_atom_site_label
_atom_site_fract_x
_atom_site_fract_y
_atom_site_fract_z
Pr1 0.0000 0.1234 0.0000
Pr2 0.0000 0.8766 0.5000
Sn1 0.5000 0.3795 0.4980
Sn2 0.5000 0.6205 0.9980
N1 0.0000 0.2442 0.3667
N2 0.0000 0.7558 0.8667
O1 0.5000 0.1013 0.7224
O2 0.5000 0.8987 0.2224
```

=====

Theoretical X-ray powder pattern
Compound: PrSnNO
Radiation: Cu Ka
Structure: a cell relaxed with GGA-PBE
Peak positions follow from Bragg's law for the DFT cell and can differ from measured ones.

Main lines, by angle (2θ = 10–90°):
d 2.962, I 100, (1 2 1); d 2.871, I 18, (0 0 2); d 2.128, I 8, (0 4 0); d 2.062, I 17, (2 0 2); d 1.728, I 9, (2 4 0); d 1.710, I 24, (0 4 2); d 1.674, I 17, (1 2 3); d 1.481, I 11, (2 4 2); d 1.341, I 7, (1 6 1); d 1.120, I 7, (4 4 2)

Structural model:
```
data_PrSnNO
_chemical_formula_sum 'Pr4 Sn4 N4 O4'
_cell_length_a 5.9270
_cell_length_b 8.5112
_cell_length_c 5.7421
_cell_angle_alpha 90.00
_cell_angle_beta 90.00
_cell_angle_gamma 90.00
_space_group_name_H-M_alt 'P 1'
_space_group_IT_number 1
loop_
_space_group_symop_operation_xyz
'x,y,z'
loop_
_atom_site_label
_atom_site_fract_x
_atom_site_fract_y
_atom_site_fract_z
Pr1 0.0091 0.1328 0.0000
Pr2 0.4909 0.1328 0.5000
Pr3 0.5091 0.8672 0.0000
Pr4 0.9909 0.8672 0.5000
Sn1 0.0369 0.6187 0.9952
Sn2 0.4631 0.6187 0.4952
Sn3 0.5369 0.3813 0.9952
Sn4 0.9631 0.3813 0.4952
N1 0.1107 0.5960 0.6168
N2 0.3893 0.5960 0.1168
N3 0.6107 0.4040 0.6168
N4 0.8893 0.4040 0.1168
O1 0.2467 0.9921 0.2469
O2 0.2533 0.9921 0.7469
O3 0.7467 0.0079 0.2469
O4 0.7533 0.0079 0.7469
```

=====

What is the formula in the third record?
RbPrNO

=====

Which formula does entry 3 have?
RbPrNO